Computed X-ray diffraction stick pattern of Ti6Bi2C for a wavelength of 1.5418 Å, from a crystal structure in Alexandria, relaxed with GGA-PBE.

The 10 most intense peaks (2θ from 10° to 80°), by angle:
- 20.58 deg, intensity 199
- 21.07 deg, intensity 376
- 29.62 deg, intensity 397
- 29.97 deg, intensity 193
- 36.64 deg, intensity 1000
- 41.87 deg, intensity 181
- 42.90 deg, intensity 337
- 53.00 deg, intensity 168
- 61.50 deg, intensity 225
- 74.49 deg, intensity 242

Structure:
a = 6.033 Å, b = 6.033 Å, c = 6.033 Å
α = 120.77°, β = 120.77°, γ = 88.67°
Fractional coordinates of all 9 atoms:
Ti (0.244, 0.244, 0.489)
Ti (0.244, 0.756, 0.000)
Ti (0.248, 0.248, 0.000)
Ti (0.752, 0.752, 0.000)
Ti (0.756, 0.244, 0.000)
Ti (0.756, 0.756, 0.511)
Bi (0.250, 0.750, 0.500)
Bi (0.750, 0.250, 0.500)
C (0.500, 0.500, 0.000)